1.
Calculated powder XRD pattern of SiSe2 for λ = 1.5418 Å (Cu Kα), from a PBE-relaxed structure.
Lines closer than 0.1° are merged.

Cell and atoms:
```
SiSe2
1.0
7.2631 0.0000 0.0000
0.0000 9.3913 0.0000
0.0000 0.0000 5.9319
Si Se
4 8
direct
0.0000 0.0000 0.2500
0.0000 0.0000 0.7500
0.5000 0.5000 0.2500
0.5000 0.5000 0.7500
0.1753 0.1301 0.0000
0.1753 0.8699 0.5000
0.3247 0.3699 0.5000
0.3247 0.6301 0.0000
0.6753 0.3699 0.0000
0.6753 0.6301 0.5000
0.8247 0.1301 0.5000
0.8247 0.8699 0.0000
```

The 8 most intense peaks (2θ from 10° to 90°), low angle first:
two_theta  I/Imax
15.42  63.0
27.15  100.0
30.13  16.1
30.39  32.5
38.36  14.3
49.54  32.9
51.72  16.3
53.68  15.2

2.
Calculated powder XRD pattern of SiSe2 for λ = 1.5418 Å (Cu Kα), from a PBE-relaxed structure.
Lines closer than 0.1° are merged.

Cell and atoms:
```
SiSe2
1.0
6.9992 0.0000 0.0000
0.0000 17.5329 0.0000
-1.5506 0.0000 6.1630
Si Se
8 16
direct
0.1175 0.0647 0.1197
0.1175 0.4353 0.6197
0.3503 0.1948 0.3469
0.3503 0.3052 0.8469
0.6497 0.6948 0.1531
0.6497 0.8052 0.6531
0.8825 0.5647 0.3803
0.8825 0.9353 0.8803
0.0030 0.0436 0.7524
0.0030 0.4564 0.2524
0.0143 0.1807 0.2248
0.0143 0.3193 0.7248
0.4538 0.0785 0.2474
0.4538 0.4215 0.7474
0.4768 0.1979 0.7201
0.4768 0.3021 0.2201
0.5232 0.6979 0.7799
0.5232 0.8021 0.2799
0.5462 0.5785 0.2526
0.5462 0.9215 0.7526
0.9857 0.6807 0.2752
0.9857 0.8193 0.7752
0.9970 0.5436 0.7476
0.9970 0.9564 0.2476
```

The 8 most intense peaks (2θ from 10° to 90°), low angle first:
two_theta  I/Imax
13.99  19.6
17.62  28.8
26.26  51.5
26.50  100.0
28.98  46.2
29.87  47.0
44.26  44.7
47.76  25.3

3.
Calculated powder XRD pattern of SiSe2 for λ = 1.5418 Å (Cu Kα), from a PBE-relaxed structure.
Lines closer than 0.1° are merged.

Cell and atoms:
```
SiSe2
1.0
6.2560 0.0000 0.0000
0.0000 10.8940 0.0000
0.0000 0.0000 7.0422
Si Se
4 8
direct
0.0000 0.0000 0.0000
0.0000 0.0000 0.5000
0.5000 0.5000 0.0000
0.5000 0.5000 0.5000
0.2332 0.1368 0.0000
0.2332 0.8632 0.5000
0.2668 0.3632 0.5000
0.2668 0.6368 0.0000
0.7332 0.3632 0.0000
0.7332 0.6368 0.5000
0.7668 0.1368 0.5000
0.7668 0.8632 0.0000
```

The 8 most intense peaks (2θ from 10° to 90°), low angle first:
two_theta  I/Imax
25.10  100.0
25.29  35.6
28.54  11.7
38.49  10.7
44.09  13.9
44.45  20.9
48.50  14.7
51.51  17.4

4.
Calculated powder XRD pattern of SiSe2 for λ = 1.5418 Å (Cu Kα), from a PBE-relaxed structure.
Lines closer than 0.1° are merged.

Cell and atoms:
```
SiSe2
1.0
9.0257 0.0000 0.0000
0.0000 9.0257 0.0000
0.0000 0.0000 5.9232
Si Se
4 8
direct
0.0000 0.5000 0.2500
0.0000 0.5000 0.7500
0.5000 0.0000 0.2500
0.5000 0.0000 0.7500
0.1379 0.3621 0.0000
0.1379 0.6379 0.5000
0.3621 0.1379 0.5000
0.3621 0.8621 0.0000
0.6379 0.1379 0.0000
0.6379 0.8621 0.5000
0.8621 0.3621 0.5000
0.8621 0.6379 0.0000
```

The 8 most intense peaks (2θ from 10° to 90°), low angle first:
two_theta  I/Imax
13.88  79.9
26.73  100.0
39.06  16.4
44.07  26.5
50.87  18.3
51.53  15.8
57.11  17.1
74.25  11.2

5.
Calculated powder XRD pattern of Zr2SiSe2 for λ = 1.5418 Å (Cu Kα), from a PBE-relaxed structure.
Lines closer than 0.1° are merged.

Cell and atoms:
```
Zr2SiSe2
1.0
2.9700 0.0000 0.0000
0.0000 2.9700 0.0000
0.0000 0.0000 14.0624
Zr Si Se
2 1 2
direct
0.0000 0.0000 0.1938
0.0000 0.0000 0.8062
0.0000 0.0000 0.0000
0.0000 0.0000 0.3773
0.0000 0.0000 0.6227
```

The 8 most intense peaks (2θ from 10° to 90°), low angle first:
two_theta  I/Imax
12.59  32.4
30.09  100.0
31.82  33.8
43.07  36.5
44.36  52.5
54.53  28.1
70.96  16.0
79.86  18.1

6.
Calculated powder XRD pattern of ZrSiSe for λ = 1.5418 Å (Cu Kα), from a PBE-relaxed structure.
Lines closer than 0.1° are merged.

Cell and atoms:
```
ZrSiSe
1.0
3.6168 0.0000 0.0000
0.0000 3.6168 0.0000
0.0000 0.0000 8.6760
Zr Si Se
2 2 2
direct
0.2500 0.2500 0.2492
0.7500 0.7500 0.7508
0.2500 0.7500 0.0000
0.7500 0.2500 0.0000
0.2500 0.2500 0.6276
0.7500 0.7500 0.3724
```

The 8 most intense peaks (2θ from 10° to 90°), low angle first:
two_theta  I/Imax
32.22  54.9
35.09  69.6
36.63  41.4
39.91  100.0
40.97  66.5
50.47  46.9
59.05  34.0
66.20  43.2

7.
Calculated powder XRD pattern of Sm3Se4 for λ = 1.5418 Å (Cu Kα), from a PBE-relaxed structure.
Lines closer than 0.1° are merged.

Cell and atoms:
```
Sm3Se4
1.0
-4.4255 4.4255 4.4255
4.4255 -4.4255 4.4255
4.4255 4.4255 -4.4255
Sm Se
6 8
direct
0.1250 0.8750 0.2500
0.2500 0.1250 0.8750
0.3750 0.6250 0.7500
0.6250 0.7500 0.3750
0.7500 0.3750 0.6250
0.8750 0.2500 0.1250
0.0000 0.1474 0.5000
0.0000 0.6474 0.5000
0.1474 0.5000 0.0000
0.3526 0.3526 0.3526
0.5000 0.0000 0.1474
0.5000 0.0000 0.6474
0.6474 0.5000 0.0000
0.8526 0.8526 0.8526
```

The 8 most intense peaks (2θ from 10° to 90°), low angle first:
two_theta  I/Imax
24.64  29.5
31.98  100.0
38.04  64.7
45.85  24.8
48.23  16.6
52.73  18.9
64.95  30.8
79.59  20.4

8.
Calculated powder XRD pattern of Sm5Se9 for λ = 1.5418 Å (Cu Kα), from a PBE-relaxed structure.
Lines closer than 0.1° are merged.

Cell and atoms:
```
Sm5Se9
1.0
9.1051 0.0000 0.0000
-0.0693 9.2580 0.0000
-1.7873 -3.6349 8.4264
Sm Se
10 18
direct
0.0147 0.2616 0.2791
0.1940 0.6479 0.2611
0.1948 0.1372 0.7411
0.3961 0.5394 0.7253
0.4072 0.0651 0.2861
0.5928 0.9349 0.7139
0.6039 0.4606 0.2747
0.8052 0.8628 0.2589
0.8060 0.3521 0.7389
0.9853 0.7384 0.7209
0.0449 0.3403 0.0021
0.0821 0.4083 0.6403
0.1284 0.9962 0.3744
0.1374 0.0084 0.9962
0.2714 0.7956 0.6308
0.3283 0.3951 0.3694
0.3601 0.4539 0.0000
0.4626 0.1313 0.0004
0.4846 0.2053 0.6421
0.5154 0.7947 0.3579
0.5374 0.8687 0.9996
0.6399 0.5461 0.0000
0.6717 0.6049 0.6306
0.7286 0.2044 0.3692
0.8626 0.9916 0.0038
0.8716 0.0038 0.6256
0.9179 0.5917 0.3597
0.9551 0.6597 0.9979
```

The 8 most intense peaks (2θ from 10° to 90°), low angle first:
two_theta  I/Imax
24.15  100.0
30.51  76.1
31.08  62.7
31.86  74.1
32.89  70.3
38.95  77.5
44.02  68.2
44.21  70.6